The following is a theoretical X-ray powder pattern of NaMgPbCl5. It was derived from a cell relaxed with PBE, using Cu Kα X-rays.

Atomic structure:
a = 7.162 Å, b = 7.162 Å, c = 10.078 Å
α = 107.02°, β = 107.02°, γ = 90.59°
Atoms (fractional coordinates):
Na 0.017 0.983 0.750
Na 0.983 0.017 0.250
Mg 0.000 0.500 0.000
Mg 0.500 0.000 0.500
Pb 0.436 0.564 0.750
Pb 0.564 0.436 0.250
Cl 0.120 0.674 0.856
Cl 0.257 0.276 0.977
Cl 0.258 0.742 0.250
Cl 0.276 0.257 0.477
Cl 0.326 0.880 0.644
Cl 0.674 0.120 0.356
Cl 0.724 0.743 0.523
Cl 0.742 0.258 0.750
Cl 0.743 0.724 0.023
Cl 0.880 0.326 0.144

Main lines, in order of rising 2θ (2θ = 15–90°):
two_theta  intensity
18.5  72
19.4  94
19.7  51
21.0  100
27.4  63
28.3  60
32.9  72
37.8  78

---

The following is a theoretical X-ray powder pattern of RbNaMg2Cl6. It was derived from a cell relaxed with PBE, using Cu Kα X-rays.

Atomic structure:
a = 9.588 Å, b = 9.588 Å, c = 7.007 Å
α = 96.27°, β = 96.27°, γ = 90.55°
Atoms (fractional coordinates):
Rb 0.100 0.900 0.750
Rb 0.900 0.100 0.250
Na 0.280 0.720 0.250
Na 0.720 0.280 0.750
Mg 0.217 0.383 0.729
Mg 0.383 0.217 0.229
Mg 0.617 0.783 0.771
Mg 0.783 0.617 0.271
Cl 0.021 0.232 0.687
Cl 0.176 0.598 0.896
Cl 0.232 0.021 0.187
Cl 0.280 0.412 0.409
Cl 0.402 0.824 0.604
Cl 0.412 0.280 0.909
Cl 0.588 0.720 0.091
Cl 0.598 0.176 0.396
Cl 0.720 0.588 0.591
Cl 0.768 0.979 0.813
Cl 0.824 0.402 0.104
Cl 0.979 0.768 0.313

Main lines, in order of rising 2θ (2θ = 15–90°):
two_theta  intensity
21.0  72
21.4  57
23.8  81
29.6  82
30.9  100
33.6  36
43.1  53
43.6  36

---

The following is a theoretical X-ray powder pattern of NaMgTiCl6. It was derived from a cell relaxed with PBE, using Cu Kα X-rays.

Atomic structure:
a = 6.401 Å, b = 6.401 Å, c = 12.509 Å
α = 90.00°, β = 90.00°, γ = 120.00°
Atoms (fractional coordinates):
Na 0.000 0.000 0.000
Na 0.000 0.000 0.500
Mg 0.333 0.667 0.250
Mg 0.667 0.333 0.750
Ti 0.333 0.667 0.750
Ti 0.667 0.333 0.250
Cl 0.009 0.365 0.639
Cl 0.009 0.644 0.861
Cl 0.356 0.365 0.861
Cl 0.356 0.991 0.639
Cl 0.365 0.009 0.139
Cl 0.365 0.356 0.361
Cl 0.635 0.644 0.639
Cl 0.635 0.991 0.861
Cl 0.644 0.009 0.361
Cl 0.644 0.635 0.139
Cl 0.991 0.356 0.139
Cl 0.991 0.635 0.361

Main lines, in order of rising 2θ (2θ = 15–90°):
two_theta  intensity
21.4  35
31.4  100
40.3  61
45.7  12
49.3  32
52.4  21
59.6  10
65.5  11

---

The following is a theoretical X-ray powder pattern of MgNbCl. It was derived from a cell relaxed with PBE, using Cu Kα X-rays.

Atomic structure:
a = 3.550 Å, b = 3.551 Å, c = 10.260 Å
α = 90.00°, β = 90.34°, γ = 90.00°
Atoms (fractional coordinates):
Mg 0.245 0.250 0.275
Mg 0.755 0.750 0.725
Nb 0.251 0.250 0.556
Nb 0.749 0.750 0.444
Cl 0.250 0.250 0.840
Cl 0.750 0.750 0.160

Main lines, in order of rising 2θ (2θ = 15–90°):
two_theta  intensity
26.1  25
35.8  100
36.4  23
36.5  47
36.6  24
36.9  42
43.5  43
51.5  36

---

The following is a theoretical X-ray powder pattern of MgNbCl2. It was derived from a cell relaxed with PBE, using Cu Kα X-rays.

Atomic structure:
a = 3.191 Å, b = 3.191 Å, c = 29.391 Å
α = 90.00°, β = 90.00°, γ = 120.00°
Atoms (fractional coordinates):
Mg 0.000 0.000 0.000
Mg 0.333 0.667 0.667
Mg 0.667 0.333 0.333
Nb 0.000 0.000 0.500
Nb 0.333 0.667 0.167
Nb 0.667 0.333 0.833
Cl 0.000 0.000 0.106
Cl 0.000 0.000 0.894
Cl 0.333 0.667 0.561
Cl 0.333 0.667 0.772
Cl 0.667 0.333 0.228
Cl 0.667 0.333 0.439

Main lines, in order of rising 2θ (2θ = 15–90°):
two_theta  intensity
18.1  40
33.0  100
35.9  80
40.9  73
45.0  73
52.3  19
57.8  35
85.0  20

---

The following is a theoretical X-ray powder pattern of MgNb2Te4Cl10O. It was derived from a cell relaxed with PBE, using Cu Kα X-rays.

Atomic structure:
a = 7.193 Å, b = 8.522 Å, c = 9.567 Å
α = 82.47°, β = 89.52°, γ = 75.42°
Atoms (fractional coordinates):
Mg 0.000 0.000 0.000
Nb 0.066 0.192 0.568
Nb 0.099 0.474 0.841
Te 0.439 0.891 0.026
Te 0.457 0.643 0.247
Te 0.657 0.033 0.192
Te 0.754 0.735 0.371
Cl 0.015 0.009 0.405
Cl 0.086 0.693 0.030
Cl 0.196 0.347 0.395
Cl 0.223 0.645 0.680
Cl 0.360 0.010 0.644
Cl 0.406 0.345 0.949
Cl 0.746 0.362 0.517
Cl 0.776 0.611 0.805
Cl 0.898 0.034 0.758
Cl 0.981 0.282 0.038
O 0.096 0.326 0.715

Main lines, in order of rising 2θ (2θ = 15–90°):
two_theta  intensity
15.2  27
15.6  100
18.7  36
20.1  45
20.4  33
22.5  29
22.9  34
30.9  48

---

The following is a theoretical X-ray powder pattern of MgNb2Te4Cl10O. It was derived from a cell relaxed with PBE, using Cu Kα X-rays.

Atomic structure:
a = 6.608 Å, b = 9.766 Å, c = 10.513 Å
α = 108.81°, β = 90.58°, γ = 107.72°
Atoms (fractional coordinates):
Mg 0.000 0.000 0.000
Nb 0.151 0.359 0.063
Nb 0.890 0.131 0.299
Te 0.192 0.804 0.499
Te 0.384 0.784 0.719
Te 0.761 0.699 0.587
Te 0.938 0.688 0.819
Cl 0.120 0.961 0.209
Cl 0.154 0.290 0.475
Cl 0.308 0.466 0.905
Cl 0.361 0.176 0.995
Cl 0.404 0.524 0.245
Cl 0.645 0.935 0.089
Cl 0.656 0.267 0.349
Cl 0.729 0.959 0.412
Cl 0.891 0.145 0.871
Cl 0.910 0.492 0.111
O 0.017 0.221 0.166

Main lines, in order of rising 2θ (2θ = 15–90°):
two_theta  intensity
15.7  100
19.2  23
20.7  28
24.9  19
28.5  26
28.9  20
29.2  29
29.7  25

---

The following is a theoretical X-ray powder pattern of MgNb2Te4Cl10O. It was derived from a cell relaxed with PBE, using Cu Kα X-rays.

Atomic structure:
a = 6.661 Å, b = 9.221 Å, c = 10.467 Å
α = 100.98°, β = 90.72°, γ = 106.78°
Atoms (fractional coordinates):
Mg 0.000 0.000 0.000
Nb 0.462 0.952 0.057
Nb 0.526 0.711 0.315
Te 0.066 0.140 0.608
Te 0.177 0.396 0.811
Te 0.865 0.291 0.472
Te 0.954 0.538 0.680
Cl 0.111 0.758 0.982
Cl 0.174 0.570 0.261
Cl 0.269 0.113 0.187
Cl 0.296 0.078 0.869
Cl 0.434 0.893 0.476
Cl 0.573 0.560 0.466
Cl 0.639 0.558 0.142
Cl 0.657 0.846 0.880
Cl 0.791 0.171 0.094
Cl 0.888 0.880 0.359
O 0.505 0.850 0.180

Main lines, in order of rising 2θ (2θ = 15–90°):
two_theta  intensity
15.9  100
18.2  32
19.6  35
20.2  37
24.1  37
29.5  33
32.0  25
42.2  31